Record 1
# Ti5GaPb2
Theoretical X-ray diffraction stick pattern, λ = 1.5418 Å (Cu Kα). Input: a DFT-relaxed cell (GGA-PBE, Alexandria).

Peak list (12 most intense, 2θ from 10° to 90°, sorted by position)
14.83°, I 65
21.14°, I 100
26.33°, I 21
26.73°, I 21
28.97°, I 36
33.42°, I 36
34.64°, I 25
36.44°, I 43
37.64°, I 89
38.22°, I 65
39.03°, I 24
40.94°, I 39

Structure:
```
data_Ti5GaPb2
_chemical_formula_sum 'Ti20 Ga4 Pb8'
_space_group_name_H-M_alt 'C m c m'
_space_group_IT_number 63
_space_group_name_Hall '-C 2c 2'
_cell_length_a 4.4090
_cell_length_b 13.9249
_cell_length_c 11.6207
_cell_angle_alpha 90.00
_cell_angle_beta 90.00
_cell_angle_gamma 90.00
loop_
_atom_site_label
_atom_site_type_symbol
_atom_site_fract_x
_atom_site_fract_y
_atom_site_fract_z
Ti1 Ti 0.0000 0.1303 0.1328
Ti2 Ti 0.0000 0.2884 0.7500
Ti3 Ti 0.0000 0.3027 0.0114
Ga1 Ga 0.0000 0.3147 0.2500
Pb1 Pb 0.0000 0.0810 0.6157
```



Record 2
# Ti3GaPb
Theoretical X-ray diffraction stick pattern, λ = 1.5418 Å (Cu Kα). Input: a DFT-relaxed cell (GGA-PBE, Alexandria).

Peak list (12 most intense, 2θ from 10° to 90°, sorted by position)
18.98°, I 19
26.43°, I 57
31.16°, I 22
35.30°, I 26
36.94°, I 100
37.92°, I 84
39.62°, I 38
43.27°, I 26
47.32°, I 25
63.37°, I 18
66.04°, I 14
81.07°, I 16

Structure:
```
data_Ti3GaPb
_chemical_formula_sum 'Ti12 Ga4 Pb4'
_space_group_name_H-M_alt 'C 1 2/m 1'
_space_group_IT_number 12
_space_group_name_Hall '-C 2y'
_cell_length_a 10.1815
_cell_length_b 3.8418
_cell_length_c 9.3608
_cell_angle_alpha 90.00
_cell_angle_beta 92.42
_cell_angle_gamma 90.00
loop_
_atom_site_label
_atom_site_type_symbol
_atom_site_fract_x
_atom_site_fract_y
_atom_site_fract_z
Ti1 Ti 0.0557 0.0000 0.3370
Ti2 Ti 0.0576 0.5000 0.8643
Ti3 Ti 0.2332 0.5000 0.2211
Ga1 Ga 0.1363 0.0000 0.0525
Pb1 Pb 0.1452 0.5000 0.5699
```



Record 3
# Tl3GaPb3
Theoretical X-ray diffraction stick pattern, λ = 1.5418 Å (Cu Kα). Input: a DFT-relaxed cell (GGA-PBE, Alexandria).

Peak list (12 most intense, 2θ from 10° to 90°, sorted by position)
27.78°, I 11
31.57°, I 53
32.15°, I 96
32.67°, I 100
33.42°, I 45
46.36°, I 16
46.63°, I 30
56.24°, I 13
57.25°, I 15
58.34°, I 14
58.94°, I 14
59.26°, I 14

Structure:
```
data_Tl3GaPb3
_chemical_formula_sum 'Tl12 Ga4 Pb12'
_space_group_name_H-M_alt 'P 1 21/c 1'
_space_group_IT_number 14
_space_group_name_Hall '-P 2ybc'
_cell_length_a 6.4665
_cell_length_b 10.7255
_cell_length_c 12.0830
_cell_angle_alpha 90.00
_cell_angle_beta 95.77
_cell_angle_gamma 90.00
loop_
_atom_site_label
_atom_site_type_symbol
_atom_site_fract_x
_atom_site_fract_y
_atom_site_fract_z
Tl1 Tl 0.0508 0.1210 0.2412
Tl2 Tl 0.1556 0.1342 0.5308
Tl3 Tl 0.4215 0.6179 0.1340
Ga1 Ga 0.4348 0.1216 0.0854
Pb1 Pb 0.1692 0.6165 0.5513
Pb2 Pb 0.2994 0.6523 0.8422
Pb3 Pb 0.3026 0.1112 0.8315
```



Record 4
# Tl14GaPb
Theoretical X-ray diffraction stick pattern, λ = 1.5418 Å (Cu Kα). Input: a DFT-relaxed cell (GGA-PBE, Alexandria).

Peak list (12 most intense, 2θ from 10° to 90°, sorted by position)
28.37°, I 17
30.17°, I 15
32.33°, I 32
32.74°, I 100
34.34°, I 34
43.55°, I 11
49.08°, I 10
52.49°, I 16
57.93°, I 20
60.01°, I 11
61.27°, I 13
63.01°, I 18

Structure:
```
data_Tl14GaPb
_chemical_formula_sum 'Tl28 Ga2 Pb2'
_space_group_name_H-M_alt 'A m m 2'
_space_group_IT_number 38
_space_group_name_Hall 'A 2 -2'
_cell_length_a 11.0747
_cell_length_b 7.4241
_cell_length_c 11.8479
_cell_angle_alpha 90.00
_cell_angle_beta 90.00
_cell_angle_gamma 90.00
loop_
_atom_site_label
_atom_site_type_symbol
_atom_site_fract_x
_atom_site_fract_y
_atom_site_fract_z
Tl1 Tl 0.0000 0.0000 0.0000
Tl2 Tl 0.0000 0.0000 0.4971
Tl3 Tl 0.0000 0.2462 0.2464
Tl4 Tl 0.2477 0.0000 0.8235
Tl5 Tl 0.2549 0.0000 0.3213
Tl6 Tl 0.2592 0.2412 0.5707
Tl7 Tl 0.5000 0.2463 0.7526
Ga1 Ga 0.5000 0.0000 0.4960
Pb1 Pb 0.5000 0.0000 0.0003
```



Record 5
# Tl2GaPb
Theoretical X-ray diffraction stick pattern, λ = 1.5418 Å (Cu Kα). Input: a DFT-relaxed cell (GGA-PBE, Alexandria).

Peak list (12 most intense, 2θ from 10° to 90°, sorted by position)
24.89°, I 10
29.52°, I 20
30.69°, I 33
33.39°, I 24
34.01°, I 100
38.98°, I 16
52.26°, I 24
52.40°, I 16
60.08°, I 13
63.54°, I 23
63.88°, I 11
87.18°, I 10

Structure:
```
data_Tl2GaPb
_chemical_formula_sum 'Tl4 Ga2 Pb2'
_space_group_name_H-M_alt 'A m m 2'
_space_group_IT_number 38
_space_group_name_Hall 'A 2 -2'
_cell_length_a 10.7329
_cell_length_b 3.4990
_cell_length_c 6.0453
_cell_angle_alpha 90.00
_cell_angle_beta 90.00
_cell_angle_gamma 90.00
loop_
_atom_site_label
_atom_site_type_symbol
_atom_site_fract_x
_atom_site_fract_y
_atom_site_fract_z
Tl1 Tl 0.2289 0.0000 0.0000
Ga1 Ga 0.0000 0.0000 0.6651
Pb1 Pb 0.5000 0.0000 0.3339
```



Record 6
# Tl3Ga3Pb
Theoretical X-ray diffraction stick pattern, λ = 1.5418 Å (Cu Kα). Input: a DFT-relaxed cell (GGA-PBE, Alexandria).

Peak list (12 most intense, 2θ from 10° to 90°, sorted by position)
22.72°, I 41
25.45°, I 34
27.92°, I 100
39.90°, I 21
41.60°, I 10
43.25°, I 63
46.41°, I 29
52.27°, I 18
55.03°, I 16
65.30°, I 19
67.72°, I 19
74.77°, I 19

Structure:
```
data_Tl3Ga3Pb
_chemical_formula_sum 'Tl6 Ga6 Pb2'
_space_group_name_H-M_alt 'P m -3 n'
_space_group_IT_number 223
_space_group_name_Hall '-P 4n 2 3'
_cell_length_a 7.8269
_cell_length_b 7.8269
_cell_length_c 7.8269
_cell_angle_alpha 90.00
_cell_angle_beta 90.00
_cell_angle_gamma 90.00
loop_
_atom_site_label
_atom_site_type_symbol
_atom_site_fract_x
_atom_site_fract_y
_atom_site_fract_z
Tl1 Tl 0.0000 0.2500 0.5000
Ga1 Ga 0.0000 0.5000 0.2500
Pb1 Pb 0.0000 0.0000 0.0000
```



Record 7
# ZnGa2Pb2
Theoretical X-ray diffraction stick pattern, λ = 1.5418 Å (Cu Kα). Input: a DFT-relaxed cell (GGA-PBE, Alexandria).

Peak list (12 most intense, 2θ from 10° to 90°, sorted by position)
21.20°, I 18
23.74°, I 21
23.86°, I 19
30.16°, I 15
32.13°, I 19
33.89°, I 100
38.78°, I 26
44.57°, I 23
48.85°, I 10
51.18°, I 23
68.26°, I 13
70.17°, I 18

Structure:
```
data_ZnGa2Pb2
_chemical_formula_sum 'Zn2 Ga4 Pb4'
_space_group_name_H-M_alt 'P 4/m b m'
_space_group_IT_number 127
_space_group_name_Hall '-P 4 2ab'
_cell_length_a 8.3816
_cell_length_b 8.3816
_cell_length_c 3.7286
_cell_angle_alpha 90.00
_cell_angle_beta 90.00
_cell_angle_gamma 90.00
loop_
_atom_site_label
_atom_site_type_symbol
_atom_site_fract_x
_atom_site_fract_y
_atom_site_fract_z
Zn1 Zn 0.0000 0.0000 0.0000
Ga1 Ga 0.1138 0.3862 0.5000
Pb1 Pb 0.1875 0.6875 0.0000
```



Record 8
# Ga3Pd4
Theoretical X-ray diffraction stick pattern, λ = 1.5418 Å (Cu Kα). Input: a DFT-relaxed cell (GGA-PBE, Alexandria).

Peak list (12 most intense, 2θ from 10° to 90°, sorted by position)
28.52°, I 4
37.67°, I 17
40.76°, I 100
46.54°, I 12
51.79°, I 12
65.74°, I 9
70.02°, I 10
74.15°, I 6
74.33°, I 8
76.24°, I 8
82.27°, I 4
86.25°, I 4

Structure:
```
data_Ga3Pd4
_chemical_formula_sum 'Ga18 Pd24'
_space_group_name_H-M_alt 'R -3'
_space_group_IT_number 148
_space_group_name_Hall '-R 3'
_cell_length_a 11.7207
_cell_length_b 11.7207
_cell_length_c 5.4123
_cell_angle_alpha 90.00
_cell_angle_beta 90.00
_cell_angle_gamma 120.00
loop_
_atom_site_label
_atom_site_type_symbol
_atom_site_fract_x
_atom_site_fract_y
_atom_site_fract_z
Ga1 Ga 0.0232 0.2167 0.3039
Pd1 Pd 0.0000 0.0000 0.0000
Pd2 Pd 0.0000 0.0000 0.5000
Pd3 Pd 0.0228 0.2332 0.8129
```



Record 9
# Ga2Pd
Theoretical X-ray diffraction stick pattern, λ = 1.5418 Å (Cu Kα). Input: a DFT-relaxed cell (GGA-PBE, Alexandria).

Peak list (12 most intense, 2θ from 10° to 90°, sorted by position)
22.75°, I 82
30.80°, I 81
34.98°, I 22
42.57°, I 100
42.90°, I 49
43.03°, I 95
43.91°, I 76
49.61°, I 38
50.42°, I 35
60.38°, I 23
77.61°, I 26
80.41°, I 22

Structure:
```
data_Ga2Pd
_chemical_formula_sum 'Ga16 Pd8'
_space_group_name_H-M_alt 'C m c e'
_space_group_IT_number 64
_space_group_name_Hall '-C 2ac 2'
_cell_length_a 12.2647
_cell_length_b 5.7757
_cell_length_c 5.8889
_cell_angle_alpha 90.00
_cell_angle_beta 90.00
_cell_angle_gamma 90.00
loop_
_atom_site_label
_atom_site_type_symbol
_atom_site_fract_x
_atom_site_fract_y
_atom_site_fract_z
Ga1 Ga 0.0000 0.1622 0.1654
Ga2 Ga 0.2500 0.2484 0.2500
Pd1 Pd 0.1194 0.0000 0.5000
```



Record 10
# GaPd2
Theoretical X-ray diffraction stick pattern, λ = 1.5418 Å (Cu Kα). Input: a DFT-relaxed cell (GGA-PBE, Alexandria).

Peak list (12 most intense, 2θ from 10° to 90°, sorted by position)
35.46°, I 16
37.77°, I 12
39.03°, I 39
39.48°, I 17
40.76°, I 100
44.01°, I 11
44.36°, I 32
47.43°, I 16
60.90°, I 13
66.96°, I 11
75.84°, I 9
79.20°, I 14

Structure:
```
data_GaPd2
_chemical_formula_sum 'Ga4 Pd8'
_space_group_name_H-M_alt 'P n m a'
_space_group_IT_number 62
_space_group_name_Hall '-P 2ac 2n'
_cell_length_a 5.5937
_cell_length_b 4.0841
_cell_length_c 7.8967
_cell_angle_alpha 90.00
_cell_angle_beta 90.00
_cell_angle_gamma 90.00
loop_
_atom_site_label
_atom_site_type_symbol
_atom_site_fract_x
_atom_site_fract_y
_atom_site_fract_z
Ga1 Ga 0.2057 0.2500 0.1092
Pd1 Pd 0.0426 0.2500 0.7925
Pd2 Pd 0.1639 0.2500 0.4340
```



Record 11
# Ga5Pd13
Theoretical X-ray diffraction stick pattern, λ = 1.5418 Å (Cu Kα). Input: a DFT-relaxed cell (GGA-PBE, Alexandria).

Peak list (12 most intense, 2θ from 10° to 90°, sorted by position)
39.51°, I 91
40.34°, I 100
40.81°, I 13
40.92°, I 17
41.10°, I 18
44.30°, I 48
44.78°, I 24
50.08°, I 16
64.82°, I 16
69.06°, I 12
78.31°, I 11
78.84°, I 14

Structure:
```
data_Ga5Pd13
_chemical_formula_sum 'Ga10 Pd26'
_space_group_name_H-M_alt 'C 1 2/m 1'
_space_group_IT_number 12
_space_group_name_Hall '-C 2y'
_cell_length_a 24.6063
_cell_length_b 4.0891
_cell_length_c 5.5249
_cell_angle_alpha 90.00
_cell_angle_beta 102.43
_cell_angle_gamma 90.00
loop_
_atom_site_label
_atom_site_type_symbol
_atom_site_fract_x
_atom_site_fract_y
_atom_site_fract_z
Ga1 Ga 0.0000 0.0000 0.0000
Ga2 Ga 0.1059 0.0000 0.6442
Ga3 Ga 0.1770 0.5000 0.3128
Pd1 Pd 0.0000 0.0000 0.5000
Pd2 Pd 0.0451 0.5000 0.8486
Pd3 Pd 0.0701 0.5000 0.3736
Pd4 Pd 0.1128 0.0000 0.1251
Pd5 Pd 0.1599 0.5000 0.8294
Pd6 Pd 0.2127 0.0000 0.5918
Pd7 Pd 0.2242 0.0000 0.1078
```



Record 12
# GaPd6
Theoretical X-ray diffraction stick pattern, λ = 1.5418 Å (Cu Kα). Input: a DFT-relaxed cell (GGA-PBE, Alexandria).

Peak list (9 most intense, 2θ from 10° to 90°, sorted by position)
23.66°, I 1
33.23°, I 1
40.76°, I 100
59.02°, I 16
73.70°, I 1
74.16°, I 25
74.35°, I 8
88.20°, I 5
88.41°, I 5

Structure:
```
data_GaPd6
_chemical_formula_sum 'Ga3 Pd18'
_space_group_name_H-M_alt 'R -3 m'
_space_group_IT_number 166
_space_group_name_Hall '-R 3 2"'
_cell_length_a 4.4313
_cell_length_b 4.4313
_cell_length_c 18.9400
_cell_angle_alpha 90.00
_cell_angle_beta 90.00
_cell_angle_gamma 120.00
loop_
_atom_site_label
_atom_site_type_symbol
_atom_site_fract_x
_atom_site_fract_y
_atom_site_fract_z
Ga1 Ga 0.0000 0.0000 0.0000
Pd1 Pd 0.0000 0.0000 0.1384
Pd2 Pd 0.0000 0.0000 0.2882
Pd3 Pd 0.0000 0.0000 0.4304
```



Record 13
# Ga7Pd5
Theoretical X-ray diffraction stick pattern, λ = 1.5418 Å (Cu Kα). Input: a DFT-relaxed cell (GGA-PBE, Alexandria).

Peak list (12 most intense, 2θ from 10° to 90°, sorted by position)
26.15°, I 69
33.43°, I 39
37.20°, I 100
37.87°, I 80
40.29°, I 37
40.75°, I 41
41.18°, I 82
43.34°, I 47
44.21°, I 42
44.75°, I 84
48.02°, I 42
49.37°, I 40

Structure:
```
data_Ga7Pd5
_chemical_formula_sum 'Ga14 Pd10'
_space_group_name_H-M_alt 'C 1 2/m 1'
_space_group_IT_number 12
_space_group_name_Hall '-C 2y'
_cell_length_a 12.8208
_cell_length_b 2.9326
_cell_length_c 12.0775
_cell_angle_alpha 90.00
_cell_angle_beta 113.54
_cell_angle_gamma 90.00
loop_
_atom_site_label
_atom_site_type_symbol
_atom_site_fract_x
_atom_site_fract_y
_atom_site_fract_z
Ga1 Ga 0.0000 0.0000 0.0000
Ga2 Ga 0.0217 0.5000 0.2869
Ga3 Ga 0.1653 0.0000 0.5145
Ga4 Ga 0.2462 0.0000 0.8387
Pd1 Pd 0.0000 0.5000 0.5000
Pd2 Pd 0.1318 0.5000 0.9286
Pd3 Pd 0.2034 0.0000 0.3068
```